ZnCd2As: computed powder X-ray diffraction pattern (CuKα), based on DFT lattice parameters and positions (GGA-PBE).

Top 10 peaks for 5° ≤ 2θ ≤ 70°, in order of rising 2θ:
2θ = 29.09°, rel. 31.2, (0 1 3)
2θ = 30.70°, rel. 31.5, (0 0 4)
2θ = 31.86°, rel. 7.5, (1 0 1)
2θ = 35.83°, rel. 36.7, (0 2 0)
2θ = 39.13°, rel. 100.0, (1 1 2)
2θ = 47.88°, rel. 20.8, (0 2 4)
2θ = 50.27°, rel. 10.8, (1 0 5)
2θ = 60.30°, rel. 14.1, (1 1 6)
2θ = 63.26°, rel. 10.6, (1 2 5)
2θ = 66.59°, rel. 19.6, (1 3 2)

Structure:
a b c (Å): 2.894 5.013 11.650
angles (deg): 90.00 90.00 90.00
Space group Imm2 (No. 44)
One atom of each set of equivalent atoms:
Zn (0.000, 0.000, 0.000) x2
Cd (0.000, 0.000, 0.479) x2
Cd (0.000, 0.500, 0.277) x2
As (0.000, 0.500, 0.696) x2